Calculated powder diffraction line list of BaNpH3O6 for Cu Kα, from a DFT-relaxed cell (PBE, Alexandria).
Peak positions follow from Bragg's law for the DFT cell and can differ from measured ones.

Structure:
a b c (Å): 6.9725 7.0859 7.3665
angles (deg): 90.08 114.35 112.50
Space group P-1 (No. 2)
Symmetry-distinct sites (fractional):
Ba 0.1990 0.0308 0.3288 x2
Np 0.0000 0.5000 0.5000 x1
Np 0.5000 0.0000 0.0000 x1
H 0.2790 0.5506 0.9401 x2
H 0.3242 0.5218 0.2617 x2
H 0.4710 0.4334 0.1910 x2
O 0.0716 0.2632 0.5178 x2
O 0.2130 0.0060 0.9559 x2
O 0.2280 0.6438 0.4094 x2
O 0.3028 0.6387 0.8404 x2
O 0.3135 0.4133 0.1684 x2
O 0.4651 0.0567 0.7390 x2

Peak list (10 most intense, 2θ from 10° to 90°, low angle first)
- d 5.812, I 40, hkl 1 0 -1
- d 5.626, I 46, hkl 1 -1 0
- d 5.110, I 51, hkl 0 1 -1
- d 3.609, I 100, hkl 1 0 1
- d 3.448, I 61, hkl -2 1 1
- d 3.253, I 49, hkl -1 1 2
- d 3.214, I 58, hkl 0 2 0
- d 3.098, I 42, hkl 1 1 -2
- d 3.013, I 36, hkl 1 -2 1
- d 2.210, I 43, hkl -2 3 1